No. 1
# Ta2RuW
Theoretical X-ray powder pattern, Cu Kα (weighted mean of Kα1 and Kα2). Input: a GGA-PBE-relaxed structure.
No peak broadening, texture or thermal motion is included.

Top 8 peaks for 10° ≤ 2θ ≤ 90°, low angle first:
two_theta  intensity  index
13.8  3  0 0 1
27.8  2  1 0 0
31.2  2  1 0 1
39.7  100  1 1 0
42.2  1  1 1 1
57.4  17  2 0 0
72.1  35  2 1 2
85.6  11  2 2 0

Atomic structure:
Unit cell a=3.208 b=3.208 c=6.425 alpha=90.00 beta=90.00 gamma=90.00
Space group P4/mmm (No. 123)
Symmetry-distinct sites (fractional):
Ta (0.000, 0.000, 0.249)
Ru (0.500, 0.500, 0.500)
W (0.500, 0.500, 0.000)

No. 2
# Ta3RuW2
Theoretical X-ray powder pattern, Cu Kα (weighted mean of Kα1 and Kα2). Input: a GGA-PBE-relaxed structure.
No peak broadening, texture or thermal motion is included.

Top 8 peaks for 10° ≤ 2θ ≤ 90°, low angle first:
two_theta  intensity  index
39.5  100  1 0 3
39.6  50  1 1 0
57.0  9  0 0 6
57.3  17  2 0 0
71.6  18  1 1 6
71.8  35  2 1 3
85.1  11  2 0 6
85.4  6  2 2 0

Atomic structure:
Unit cell a=3.216 b=3.216 c=9.698 alpha=90.00 beta=90.00 gamma=90.00
Space group P4/mmm (No. 123)
Symmetry-distinct sites (fractional):
Ta (0.000, 0.000, 0.000)
Ta (0.000, 0.000, 0.334)
Ru (0.500, 0.500, 0.500)
W (0.500, 0.500, 0.169)

No. 3
# Ta4RuW2
Theoretical X-ray powder pattern, Cu Kα (weighted mean of Kα1 and Kα2). Input: a GGA-PBE-relaxed structure.
No peak broadening, texture or thermal motion is included.

Top 8 peaks for 10° ≤ 2θ ≤ 90°, low angle first:
two_theta  intensity  index
19.7  13  1 1 0
28.1  6  2 0 0
34.5  6  1 1 2
40.1  100  2 2 0
54.0  4  3 1 2
58.0  17  4 0 0
72.9  35  4 2 2
86.6  11  4 4 0

Atomic structure:
Unit cell a=6.358 b=6.358 c=6.360 alpha=90.00 beta=90.00 gamma=90.00
Space group I4/mmm (No. 139)
Symmetry-distinct sites (fractional):
Ta (0.250, 0.250, 0.250)
Ru (0.000, 0.000, 0.000)
W (0.000, 0.500, 0.000)

No. 4
# ZrTa3Ru4
Theoretical X-ray powder pattern, Cu Kα (weighted mean of Kα1 and Kα2). Input: a GGA-PBE-relaxed structure.
No peak broadening, texture or thermal motion is included.

Top 8 peaks for 10° ≤ 2θ ≤ 90°, low angle first:
two_theta  intensity  index
39.4  100  1 1 2
40.7  46  0 2 0
54.9  10  2 0 0
59.0  16  0 2 4
70.5  9  2 2 0
73.2  16  1 3 2
73.3  15  1 1 6
84.8  11  2 2 4

Atomic structure:
Unit cell a=3.346 b=4.433 c=8.850 alpha=90.00 beta=90.00 gamma=90.00
Space group Pmmm (No. 47)
Symmetry-distinct sites (fractional):
Zr (0.000, 0.000, 0.000)
Ta (0.000, 0.000, 0.500)
Ta (0.000, 0.500, 0.255)
Ru (0.500, 0.000, 0.257)
Ru (0.500, 0.500, 0.000)
Ru (0.500, 0.500, 0.500)

No. 5
# Tb3Ru
Theoretical X-ray powder pattern, Cu Kα (weighted mean of Kα1 and Kα2). Input: a GGA-PBE-relaxed structure.
No peak broadening, texture or thermal motion is included.

Top 8 peaks for 10° ≤ 2θ ≤ 90°, low angle first:
two_theta  intensity  index
28.2  40  3 1 1
30.4  78  1 1 2
31.2  92  2 3 1
34.6  98  2 4 0
34.9  65  4 1 1
35.8  40  3 3 1
37.7  100  1 3 2
54.6  30  5 3 2

Atomic structure:
Unit cell a=11.597 b=11.597 c=6.295 alpha=90.00 beta=90.00 gamma=90.00
Space group P4_2/n (No. 86, origin choice 2)
Symmetry-distinct sites (fractional):
Tb (0.032, 0.594, 0.196)
Tb (0.115, 0.666, 0.691)
Tb (0.119, 0.192, 0.025)
Ru (0.050, 0.188, 0.515)

No. 6
# Tb6Ru5
Theoretical X-ray powder pattern, Cu Kα (weighted mean of Kα1 and Kα2). Input: a GGA-PBE-relaxed structure.
No peak broadening, texture or thermal motion is included.

Top 8 peaks for 10° ≤ 2θ ≤ 90°, low angle first:
two_theta  intensity  index
26.1  11  2 0 1
37.0  26  2 0 -2
37.3  100  2 2 1
37.6  24  6 0 0
53.7  17  4 0 2
66.9  18  0 2 3
67.6  26  6 4 0
79.6  11  4 4 2

Atomic structure:
Unit cell a=15.161 b=6.799 c=4.859 alpha=90.00 beta=108.60 gamma=90.00
Space group C2/m (No. 12)
Symmetry-distinct sites (fractional):
Tb (0.000, 0.249, 0.000)
Tb (0.167, 0.250, 0.667)
Ru (0.000, 0.000, 0.500)
Ru (0.163, 0.000, 0.163)
Ru (0.171, 0.500, 0.171)

No. 7
# Tb4Ru
Theoretical X-ray powder pattern, Cu Kα (weighted mean of Kα1 and Kα2). Input: a GGA-PBE-relaxed structure.
No peak broadening, texture or thermal motion is included.

Top 8 peaks for 10° ≤ 2θ ≤ 90°, low angle first:
two_theta  intensity  index
28.6  100  1 1 1
33.1  99  2 0 0
47.6  72  2 2 0
56.4  45  3 1 1
59.2  25  2 2 2
76.8  18  3 3 1
79.2  32  4 2 0
88.6  25  4 2 2

Atomic structure:
Unit cell a=5.407 b=5.407 c=5.407 alpha=90.00 beta=90.00 gamma=90.00
Space group Pm-3m (No. 221)
Symmetry-distinct sites (fractional):
Tb (0.000, 0.000, 0.000)
Tb (0.000, 0.500, 0.500)
Ru (0.500, 0.500, 0.500)

No. 8
# Tb2Th2Ru3
Theoretical X-ray powder pattern, Cu Kα (weighted mean of Kα1 and Kα2). Input: a GGA-PBE-relaxed structure.
No peak broadening, texture or thermal motion is included.

Top 8 peaks for 10° ≤ 2θ ≤ 90°, low angle first:
two_theta  intensity  index
10.6  14  0 0 1
25.7  42  1 1 1
36.0  100  2 0 2
37.5  94  0 2 0
52.9  33  2 2 2
63.8  16  1 1 5
66.6  33  5 1 1
67.6  17  6 0 -2

Atomic structure:
Unit cell a=8.314 b=4.804 c=8.768 alpha=90.00 beta=108.50 gamma=90.00
Space group C2/m (No. 12)
Symmetry-distinct sites (fractional):
Tb (0.129, 0.000, 0.386)
Th (0.120, 0.500, 0.859)
Ru (0.000, 0.000, 0.000)
Ru (0.245, 0.500, 0.237)

No. 9
# Tb5Tm2Ru4
Theoretical X-ray powder pattern, Cu Kα (weighted mean of Kα1 and Kα2). Input: a GGA-PBE-relaxed structure.
No peak broadening, texture or thermal motion is included.

Top 8 peaks for 10° ≤ 2θ ≤ 90°, low angle first:
two_theta  intensity  index
31.2  37  4 0 -3
31.4  100  3 1 0
32.0  34  3 1 -2
32.7  37  2 0 -4
33.7  48  1 1 -3
34.0  39  2 0 3
35.8  59  3 1 -3
46.6  43  0 2 0

Atomic structure:
Unit cell a=13.400 b=3.897 c=10.958 alpha=90.00 beta=110.71 gamma=90.00
Space group C2/m (No. 12)
Symmetry-distinct sites (fractional):
Tb (0.000, 0.000, 0.000)
Tb (0.195, 0.500, 0.592)
Tb (0.249, 0.000, 0.875)
Tm (0.014, 0.000, 0.329)
Ru (0.088, 0.500, 0.862)
Ru (0.148, 0.500, 0.304)

No. 10
# Tb2TmRu2
Theoretical X-ray powder pattern, Cu Kα (weighted mean of Kα1 and Kα2). Input: a GGA-PBE-relaxed structure.
No peak broadening, texture or thermal motion is included.

Top 8 peaks for 10° ≤ 2θ ≤ 90°, low angle first:
two_theta  intensity  index
26.0  21  3 0 0
26.5  34  0 2 0
37.2  47  3 0 -2
37.5  100  3 2 0
37.7  46  3 0 2
37.9  88  0 2 2
67.7  18  6 2 2
68.3  26  3 4 2

Atomic structure:
Unit cell a=10.272 b=6.711 c=6.733 alpha=90.00 beta=90.64 gamma=90.00
Space group P2_1/c (No. 14)
Symmetry-distinct sites (fractional):
Tb (0.003, 0.249, 0.458)
Tb (0.331, 0.729, 0.972)
Tm (0.337, 0.230, 0.018)
Ru (0.168, 0.004, 0.747)
Ru (0.497, 0.000, 0.749)

No. 11
# Tb4Tm3Ru4
Theoretical X-ray powder pattern, Cu Kα (weighted mean of Kα1 and Kα2). Input: a GGA-PBE-relaxed structure.
No peak broadening, texture or thermal motion is included.

Top 8 peaks for 10° ≤ 2θ ≤ 90°, low angle first:
two_theta  intensity  index
30.4  26  1 0 3
33.2  100  1 2 1
34.7  54  0 3 3
35.3  68  1 1 4
37.7  24  1 0 5
38.8  42  0 2 6
52.8  27  1 3 6
63.4  33  1 5 4

Atomic structure:
Unit cell a=3.486 b=8.808 c=16.396 alpha=90.00 beta=90.00 gamma=90.00
Space group Immm (No. 71)
Symmetry-distinct sites (fractional):
Tb (0.000, 0.192, 0.164)
Tm (0.000, 0.000, 0.404)
Tm (0.000, 0.500, 0.500)
Ru (0.000, 0.277, 0.000)
Ru (0.000, 0.500, 0.238)

No. 12
# Tb3Tm2Ru4
Theoretical X-ray powder pattern, Cu Kα (weighted mean of Kα1 and Kα2). Input: a GGA-PBE-relaxed structure.
No peak broadening, texture or thermal motion is included.

Top 8 peaks for 10° ≤ 2θ ≤ 90°, low angle first:
two_theta  intensity  index
28.8  21  1 0 2
36.3  89  0 1 3
37.1  100  1 1 0
52.9  30  2 0 3
63.5  11  1 1 5
66.3  31  1 2 3
66.8  18  3 0 0
78.9  11  2 2 0

Atomic structure:
Unit cell a=4.8510 b=4.8510 c=9.1825 alpha=90.00 beta=90.00 gamma=120.00
Space group P-3m1 (No. 164)
Symmetry-distinct sites (fractional):
Tb (0.0000, 0.0000, 0.0000)
Tb (0.3333, 0.6667, 0.4093)
Tm (0.3333, 0.6667, 0.7959)
Ru (0.0000, 0.0000, 0.3560)
Ru (0.3333, 0.6667, 0.1060)